Starting from a crystal structure in the Materials Project, relaxed with PBE, the powder XRD pattern of CeSm3 was computed for Cu Kα (weighted mean of Kα1 and Kα2).

Largest 10 diffraction maxima, low angle first, 2θ = 10–90°:
2theta, I_rel
28.62, 23.3
30.51, 26.3
32.52, 100.0
42.33, 16.2
50.70, 19.1
55.52, 21.9
60.34, 22.7
61.54, 16.0
83.69, 13.6
85.45, 8.7

Structural model:
a = 7.2024 Å, b = 7.2024 Å, c = 5.8591 Å
α = 90.00°, β = 90.00°, γ = 120.00°
Space group P6_3/mmc (No. 194)
Inequivalent atoms, fractional coordinates:
Ce1 0.3333 0.6667 0.2500
Sm1 0.1664 0.3328 0.7500